# 1
Simulated powder XRD pattern of Fe12Ge3As2 for copper Kα, from a cell relaxed with PBE.
Intensities are scaled so that the largest is 1000.

The 10 most intense peaks (10 to 90 degrees two-theta), sorted by position:
2θ/deg	I (rel.)
37.98	266
40.93	216
41.74	137
42.14	316
43.19	1000
46.23	748
46.73	312
48.18	168
76.20	99
81.20	100

Atomic structure:
a b c (Å): 6.610 6.610 6.610
angles (deg): 61.93 61.93 61.93
Atoms (fractional coordinates):
1 Fe 0.000 0.000 0.000
2 Fe 0.005 0.475 0.772
3 Fe 0.228 0.525 0.995
4 Fe 0.258 0.742 0.500
5 Fe 0.385 0.385 0.385
6 Fe 0.475 0.772 0.005
7 Fe 0.500 0.258 0.742
8 Fe 0.525 0.995 0.228
9 Fe 0.615 0.615 0.615
10 Fe 0.742 0.500 0.258
11 Fe 0.772 0.005 0.475
12 Fe 0.995 0.228 0.525
13 Ge 0.000 0.654 0.346
14 Ge 0.346 0.000 0.654
15 Ge 0.654 0.346 0.000
16 As 0.146 0.146 0.146
17 As 0.854 0.854 0.854

# 2
Simulated powder XRD pattern of FeGeAs for copper Kα, from a cell relaxed with PBE.
Intensities are scaled so that the largest is 1000.

The 10 most intense peaks (10 to 90 degrees two-theta), sorted by position:
2θ/deg	I (rel.)
34.04	1000
35.27	315
35.97	636
39.12	736
48.45	611
48.60	206
51.03	378
55.74	307
56.93	356
59.44	228

Atomic structure:
a b c (Å): 2.786 5.629 5.960
angles (deg): 90.00 90.00 90.00
Atoms (fractional coordinates):
1 Fe 0.000 0.239 0.000
2 Fe 0.500 0.761 0.500
3 Ge 0.000 0.438 0.634
4 Ge 0.500 0.562 0.134
5 As 0.000 0.069 0.372
6 As 0.500 0.931 0.872